1.
For AlAgPb2Se4, a cell relaxed with GGA-PBE gives the calculated X-ray diffraction stick pattern in this record (Cu Kα X-rays).
Peak positions follow from Bragg's law for the DFT cell and can differ from measured ones.

Cell and atoms:
a b c (Å): 6.410 6.780 6.945
angles (deg): 112.63 110.17 103.11
Element x y z (fractional)
Al (0.000, 0.000, 0.000)
Ag (0.259, 0.758, 0.518)
Pb (0.546, 0.547, 0.092)
Pb (0.772, 0.272, 0.553)
Se (0.140, 0.092, 0.750)
Se (0.297, 0.886, 0.204)
Se (0.612, 0.659, 0.747)
Se (0.907, 0.318, 0.210)

Largest 6 diffraction maxima, in order of falling intensity, 10 to 80 degrees two-theta:
d [Å]	2theta	I (rel.)
3.303	27.00	100
3.318	26.87	88
2.082	43.47	60
3.812	23.34	52
3.789	23.48	51
2.140	42.23	49



2.
For Pr2Al4AgPd3, a cell relaxed with GGA-PBE gives the calculated X-ray diffraction stick pattern in this record (Cu Kα X-rays).
Peak positions follow from Bragg's law for the DFT cell and can differ from measured ones.

Cell and atoms:
a b c (Å): 4.339 4.339 10.623
angles (deg): 90.00 90.00 90.00
Element x y z (fractional)
Pr (0.000, 0.500, 0.243)
Pr (0.500, 0.000, 0.757)
Al (0.000, 0.000, 0.000)
Al (0.000, 0.500, 0.634)
Al (0.500, 0.000, 0.366)
Al (0.500, 0.500, 0.000)
Ag (0.000, 0.000, 0.500)
Pd (0.000, 0.500, 0.871)
Pd (0.500, 0.000, 0.129)
Pd (0.500, 0.500, 0.500)

Largest 6 diffraction maxima, in order of falling intensity, 10 to 80 degrees two-theta:
d [Å]	2theta	I (rel.)
2.657	33.74	100
2.743	32.64	65
2.169	41.63	55
2.948	30.32	32
1.534	60.35	31
1.702	53.88	31



3.
For SmAl4AgPd2, a cell relaxed with GGA-PBE gives the calculated X-ray diffraction stick pattern in this record (Cu Kα X-rays).
Peak positions follow from Bragg's law for the DFT cell and can differ from measured ones.

Cell and atoms:
a b c (Å): 9.360 9.360 9.360
angles (deg): 26.66 26.66 26.66
Element x y z (fractional)
Sm (0.000, 0.000, 0.000)
Al (0.126, 0.126, 0.126)
Al (0.402, 0.402, 0.402)
Al (0.598, 0.598, 0.598)
Al (0.874, 0.874, 0.874)
Ag (0.500, 0.500, 0.500)
Pd (0.238, 0.238, 0.238)
Pd (0.762, 0.762, 0.762)

Largest 6 diffraction maxima, in order of falling intensity, 10 to 80 degrees two-theta:
d [Å]	2theta	I (rel.)
3.272	27.26	100
2.508	35.80	91
2.158	41.86	78
1.636	56.23	24
1.304	72.51	22
1.559	59.26	22



4.
For Sr2Al12AgPd3, a cell relaxed with GGA-PBE gives the calculated X-ray diffraction stick pattern in this record (Cu Kα X-rays).
Peak positions follow from Bragg's law for the DFT cell and can differ from measured ones.

Cell and atoms:
a b c (Å): 8.114 8.114 8.114
angles (deg): 68.82 68.82 68.82
Element x y z (fractional)
Sr (0.102, 0.102, 0.102)
Sr (0.898, 0.898, 0.898)
Al (0.142, 0.631, 0.631)
Al (0.259, 0.259, 0.620)
Al (0.259, 0.620, 0.259)
Al (0.369, 0.369, 0.858)
Al (0.369, 0.858, 0.369)
Al (0.380, 0.741, 0.741)
Al (0.620, 0.259, 0.259)
Al (0.631, 0.142, 0.631)
Al (0.631, 0.631, 0.142)
Al (0.741, 0.380, 0.741)
Al (0.741, 0.741, 0.380)
Al (0.858, 0.369, 0.369)
Ag (0.500, 0.500, 0.500)
Pd (0.000, 0.500, 0.500)
Pd (0.500, 0.000, 0.500)
Pd (0.500, 0.500, 0.000)

Largest 6 diffraction maxima, in order of falling intensity, 10 to 80 degrees two-theta:
d [Å]	2theta	I (rel.)
3.882	22.91	100
2.293	39.30	86
7.294	12.13	69
3.647	24.41	61
3.676	24.21	57
2.328	38.67	36